[1]
Structure and computed powder XRD pattern of K2ScSnSe4 (DFT lattice parameters and positions (PBE); Cu Kα (λ = 1.5418 Å)).

Principal peaks in the range 2θ from 15° to 90°, low angle first:
2θ 15.23, I 39, hkl 1 1 0; 2θ 27.21, I 100, hkl 2 1 1; 2θ 30.74, I 33, hkl 2 2 0; 2θ 33.05, I 82, hkl 2 0 2; 2θ 42.87, I 27, hkl 3 1 2; 2θ 45.07, I 23, hkl 2 1 3; 2θ 46.85, I 15, hkl 3 3 0; 2θ 47.26, I 24, hkl 4 1 1; 2θ 49.55, I 15, hkl 4 2 0; 2θ 51.13, I 20, hkl 4 0 2

Crystal structure
abc: 8.228 8.228 7.207
angles: 90.00 90.00 90.00
Space group I-42m (No. 121)
Symmetry-distinct sites (fractional):
K: 0.000 0.500 0.000
Sc: 0.000 0.000 0.000
Sn: 0.000 0.000 0.500
Se: 0.169 0.169 0.238

***

[2]
Structure and computed powder XRD pattern of KTmSc4Se8 (DFT lattice parameters and positions (PBE); Cu Kα (λ = 1.5418 Å)).

Principal peaks in the range 2θ from 15° to 90°, low angle first:
2θ 15.20, I 14, hkl 0 1 2; 2θ 21.79, I 17, hkl 1 1 0; 2θ 24.99, I 15, hkl 0 1 5; 2θ 25.39, I 31, hkl 1 1 3; 2θ 26.67, I 22, hkl 2 0 2; 2θ 30.68, I 100, hkl 0 2 4; 2θ 40.23, I 22, hkl 1 2 5; 2θ 43.45, I 48, hkl 2 0 8; 2θ 44.42, I 50, hkl 2 2 0; 2θ 54.95, I 17, hkl 4 0 4

Crystal structure
abc: 8.1579 8.1579 20.6293
angles: 90.00 90.00 120.00
Space group R3m (No. 160, hexagonal axes)
Symmetry-distinct sites (fractional):
K: 0.0000 0.0000 0.0000
Tm: 0.0000 0.0000 0.6372
Sc: 0.0000 0.0000 0.2596
Sc: 0.1736 0.3471 0.4634
Se: 0.0000 0.0000 0.3898
Se: 0.0000 0.0000 0.8621
Se: 0.0372 0.5186 0.3925
Se: 0.1737 0.3474 0.2133

***

[3]
Structure and computed powder XRD pattern of K2ScZn2Se4 (DFT lattice parameters and positions (PBE); Cu Kα (λ = 1.5418 Å)).

Principal peaks in the range 2θ from 15° to 90°, low angle first:
2θ 26.87, I 38, hkl 4 0 -2; 2θ 27.19, I 42, hkl 1 1 1; 2θ 31.43, I 45, hkl 4 0 1; 2θ 31.74, I 35, hkl 1 1 -2; 2θ 32.88, I 100, hkl 3 1 -2; 2θ 37.21, I 27, hkl 6 0 0; 2θ 40.77, I 35, hkl 3 1 -3; 2θ 42.61, I 34, hkl 3 1 2; 2θ 45.43, I 47, hkl 0 2 0; 2θ 53.01, I 28, hkl 3 1 3

Crystal structure
abc: 15.751 3.994 8.046
angles: 90.00 113.00 90.00
Space group C2/m (No. 12)
Symmetry-distinct sites (fractional):
K: 0.128 0.000 0.062
Sc: 0.000 0.000 0.500
Zn: 0.184 0.500 0.507
Se: 0.024 0.500 0.281
Se: 0.188 0.000 0.704

***

[4]
Structure and computed powder XRD pattern of KScSi (DFT lattice parameters and positions (PBE); Cu Kα (λ = 1.5418 Å)).

Principal peaks in the range 2θ from 15° to 90°, low angle first:
2θ 24.46, I 55, hkl 0 1 1; 2θ 27.95, I 34, hkl 1 0 -2; 2θ 28.08, I 82, hkl 0 0 4; 2θ 28.25, I 32, hkl 0 1 -3; 2θ 33.18, I 100, hkl 1 -1 1; 2θ 34.66, I 42, hkl -1 1 1; 2θ 41.41, I 68, hkl 1 1 -4; 2θ 41.60, I 67, hkl 1 -1 4; 2θ 44.99, I 32, hkl 0 2 -1; 2θ 49.56, I 29, hkl 2 0 0

Crystal structure
abc: 3.677 4.030 12.874
angles: 98.90 90.36 90.00
Space group P-1 (No. 2)
Symmetry-distinct sites (fractional):
K: 0.243 0.332 0.157
Sc: 0.252 0.050 0.601
Si: 0.248 0.467 0.433

***

[5]
Structure and computed powder XRD pattern of KSc2Si (DFT lattice parameters and positions (PBE); Cu Kα (λ = 1.5418 Å)).

Principal peaks in the range 2θ from 15° to 90°, low angle first:
2θ 18.05, I 25, hkl 0 0 2; 2θ 26.37, I 45, hkl 0 1 1; 2θ 27.22, I 48, hkl 0 0 3; 2θ 29.43, I 33, hkl 1 0 1; 2θ 30.79, I 69, hkl 0 1 2; 2θ 33.48, I 54, hkl 1 0 2; 2θ 37.67, I 100, hkl 1 1 0; 2θ 44.65, I 46, hkl 0 1 4; 2θ 46.65, I 40, hkl 1 0 4; 2θ 47.09, I 37, hkl 1 1 3

Crystal structure
abc: 3.191 3.600 9.830
angles: 90.00 90.00 90.00
Space group Pmmm (No. 47)
Symmetry-distinct sites (fractional):
K: 0.000 0.000 0.000
Sc: 0.500 0.500 0.349
Si: 0.000 0.000 0.500

***

[6]
Structure and computed powder XRD pattern of KSc3Te4 (DFT lattice parameters and positions (PBE); Cu Kα (λ = 1.5418 Å)).

Principal peaks in the range 2θ from 15° to 90°, low angle first:
2θ 25.03, I 26, hkl 1 0 2; 2θ 28.56, I 57, hkl 1 0 5; 2θ 30.26, I 100, hkl 1 0 6; 2θ 32.16, I 17, hkl 1 0 7; 2θ 41.29, I 17, hkl 1 0 11; 2θ 42.76, I 54, hkl 1 1 0; 2θ 43.87, I 29, hkl 1 0 12; 2θ 53.28, I 20, hkl 2 0 6; 2θ 70.60, I 16, hkl 2 1 6; 2θ 72.20, I 19, hkl 1 1 18

Crystal structure
abc: 4.2293 4.2293 29.9751
angles: 90.00 90.00 120.00
Space group P6_3/mmc (No. 194)
Symmetry-distinct sites (fractional):
K: 0.3333 0.6667 0.2500
Sc: 0.0000 0.0000 0.0000
Sc: 0.3333 0.6667 0.6124
Te: 0.0000 0.0000 0.1667
Te: 0.3333 0.6667 0.0557

***

[7]
Structure and computed powder XRD pattern of KScTe2 (DFT lattice parameters and positions (PBE); Cu Kα (λ = 1.5418 Å)).

Principal peaks in the range 2θ from 15° to 90°, low angle first:
2θ 24.20, I 33, hkl 1 0 1; 2θ 24.99, I 17, hkl 0 1 2; 2θ 27.97, I 40, hkl 1 0 4; 2θ 30.02, I 100, hkl 0 1 5; 2θ 42.08, I 43, hkl 1 1 0; 2θ 43.83, I 29, hkl 1 0 10; 2θ 52.55, I 20, hkl 2 0 5; 2θ 54.12, I 15, hkl 1 1 9; 2θ 62.36, I 14, hkl 0 2 10; 2θ 69.49, I 17, hkl 1 2 5

Crystal structure
abc: 4.2948 4.2948 24.8290
angles: 90.00 90.00 120.00
Space group R3m (No. 160, hexagonal axes)
Symmetry-distinct sites (fractional):
K: 0.0000 0.0000 0.0000
Sc: 0.0000 0.0000 0.8318
Te: 0.0000 0.0000 0.2311
Te: 0.0000 0.0000 0.4331

***

[8]
Structure and computed powder XRD pattern of KSc2Te (DFT lattice parameters and positions (PBE); Cu Kα (λ = 1.5418 Å)).

Principal peaks in the range 2θ from 15° to 90°, low angle first:
2θ 17.91, I 36, hkl 0 0 2; 2θ 30.35, I 100, hkl 1 0 2; 2θ 34.64, I 55, hkl 1 1 0; 2θ 35.84, I 27, hkl 1 1 1; 2θ 36.65, I 43, hkl 1 0 3; 2θ 39.26, I 19, hkl 1 1 2; 2θ 44.15, I 41, hkl 1 0 4; 2θ 49.80, I 18, hkl 2 0 0; 2θ 59.45, I 27, hkl 2 1 2; 2θ 68.71, I 21, hkl 2 1 4

Crystal structure
abc: 3.662 3.662 9.906
angles: 90.00 90.00 90.00
Space group P4/mmm (No. 123)
Symmetry-distinct sites (fractional):
K: 0.000 0.000 0.000
Sc: 0.500 0.500 0.341
Te: 0.000 0.000 0.500

***

[9]
Structure and computed powder XRD pattern of K3ScTi2Te6 (DFT lattice parameters and positions (PBE); Cu Kα (λ = 1.5418 Å)).

Principal peaks in the range 2θ from 15° to 90°, low angle first:
2θ 25.63, I 31, hkl 1 3 -1; 2θ 28.57, I 100, hkl 2 0 -2; 2θ 30.58, I 10, hkl 1 3 -2; 2θ 32.66, I 11, hkl 0 0 3; 2θ 35.53, I 20, hkl 2 0 -3; 2θ 38.29, I 17, hkl 1 3 -3; 2θ 43.18, I 12, hkl 0 6 0; 2θ 43.29, I 24, hkl 3 3 -1; 2θ 47.64, I 10, hkl 1 3 -4; 2θ 52.60, I 11, hkl 2 6 -2

Crystal structure
abc: 7.233 12.571 8.577
angles: 90.00 106.47 90.00
Space group C2/m (No. 12)
Symmetry-distinct sites (fractional):
K: 0.000 0.000 0.000
K: 0.000 0.337 0.000
Sc: 0.000 0.500 0.500
Ti: 0.000 0.171 0.500
Te: 0.221 0.000 0.691
Te: 0.236 0.330 0.696

***

[10]
Structure and computed powder XRD pattern of KTmScTe3 (DFT lattice parameters and positions (PBE); Cu Kα (λ = 1.5418 Å)).

Principal peaks in the range 2θ from 15° to 90°, low angle first:
2θ 26.35, I 48, hkl 0 0 3; 2θ 27.26, I 100, hkl 2 1 -1; 2θ 27.72, I 59, hkl 2 1 0; 2θ 30.80, I 30, hkl 1 0 3; 2θ 32.14, I 29, hkl 1 1 -3; 2θ 34.35, I 29, hkl 3 1 -1; 2θ 37.64, I 20, hkl 4 0 -1; 2θ 39.83, I 33, hkl 0 2 0; 2θ 40.40, I 53, hkl 2 1 -4; 2θ 43.76, I 34, hkl 3 1 2

Crystal structure
abc: 9.587 4.526 10.631
angles: 90.00 107.36 90.00
Space group P2_1/m (No. 11)
Symmetry-distinct sites (fractional):
K: 0.204 0.250 0.233
Tm: 0.338 0.750 0.865
Sc: 0.084 0.250 0.608
Te: 0.117 0.250 0.877
Te: 0.226 0.750 0.545
Te: 0.458 0.750 0.161

***

[11]
Structure and computed powder XRD pattern of K2ScW (DFT lattice parameters and positions (PBE); Cu Kα (λ = 1.5418 Å)).

Principal peaks in the range 2θ from 15° to 90°, low angle first:
2θ 17.69, I 56, hkl 0 0 2; 2θ 18.44, I 41, hkl 2 0 0; 2θ 20.71, I 35, hkl 2 0 1; 2θ 25.28, I 48, hkl 2 0 -2; 2θ 26.67, I 64, hkl 0 0 3; 2θ 33.06, I 100, hkl 1 1 1; 2θ 36.69, I 42, hkl 1 1 2; 2θ 37.38, I 35, hkl 4 0 0; 2θ 42.41, I 45, hkl 3 1 -1; 2θ 45.85, I 33, hkl 4 0 -3

Crystal structure
abc: 9.628 2.951 10.031
angles: 90.00 91.68 90.00
Space group Cm (No. 8)
Symmetry-distinct sites (fractional):
K: 0.000 0.000 0.000
K: 0.240 0.000 0.604
Sc: 0.478 0.000 0.335
W: 0.250 0.500 0.265

***

[12]
Structure and computed powder XRD pattern of KSc2Zn (DFT lattice parameters and positions (PBE); Cu Kα (λ = 1.5418 Å)).

Principal peaks in the range 2θ from 15° to 90°, low angle first:
2θ 16.02, I 12, hkl 0 0 6; 2θ 32.11, I 100, hkl 1 0 4; 2θ 35.76, I 22, hkl 1 0 7; 2θ 37.32, I 44, hkl 0 1 8; 2θ 40.83, I 18, hkl 0 0 15; 2θ 42.80, I 18, hkl 0 1 11; 2θ 49.25, I 15, hkl 0 1 14; 2θ 53.63, I 24, hkl 1 1 0; 2θ 63.90, I 12, hkl 0 2 4; 2θ 75.92, I 12, hkl 1 1 18

Crystal structure
abc: 3.4176 3.4176 33.1850
angles: 90.00 90.00 120.00
Space group R-3m (No. 166, hexagonal axes)
Symmetry-distinct sites (fractional):
K: 0.0000 0.0000 0.0000
Sc: 0.0000 0.0000 0.2287
Zn: 0.0000 0.0000 0.5000

***

[13]
Structure and computed powder XRD pattern of KSe2 (DFT lattice parameters and positions (PBE); Cu Kα (λ = 1.5418 Å)).

Principal peaks in the range 2θ from 15° to 90°, low angle first:
2θ 15.34, I 28, hkl 0 1 0; 2θ 18.23, I 17, hkl 1 0 0; 2θ 18.50, I 86, hkl 0 1 1; 2θ 27.11, I 86, hkl 0 0 2; 2θ 28.53, I 100, hkl 1 2 0; 2θ 31.48, I 22, hkl 0 2 1; 2θ 33.40, I 51, hkl 2 1 0; 2θ 37.51, I 24, hkl 0 2 2; 2θ 42.62, I 23, hkl 1 -1 2; 2θ 42.86, I 20, hkl 1 2 -2

Crystal structure
abc: 5.365 6.456 6.691
angles: 80.25 89.54 65.51
Space group P1 (No. 1)
Symmetry-distinct sites (fractional):
K: 0.000 0.000 0.000
K: 0.309 0.384 0.492
Se: 0.213 0.441 0.981
Se: 0.629 0.787 0.565
Se: 0.727 0.594 0.933
Se: 0.961 0.943 0.511

***

[14]
Structure and computed powder XRD pattern of K5Se4 (DFT lattice parameters and positions (PBE); Cu Kα (λ = 1.5418 Å)).

Principal peaks in the range 2θ from 15° to 90°, low angle first:
2θ 19.25, I 100, hkl 2 0 0; 2θ 29.05, I 27, hkl 3 0 0; 2θ 29.38, I 79, hkl 2 1 1; 2θ 33.37, I 93, hkl 1 1 2; 2θ 33.67, I 46, hkl 2 2 0; 2θ 38.04, I 38, hkl 3 1 1; 2θ 38.81, I 28, hkl 2 1 2; 2θ 39.07, I 34, hkl 4 0 0; 2θ 53.71, I 20, hkl 3 3 1; 2θ 73.48, I 20, hkl 4 0 4

Crystal structure
abc: 10.6480 10.6480 6.2183
angles: 90.00 90.00 120.00
Space group P6_3/mcm (No. 193)
Symmetry-distinct sites (fractional):
K: 0.0000 0.2550 0.2500
K: 0.3333 0.6667 0.0000
Se: 0.0000 0.0000 0.0000
Se: 0.0000 0.4561 0.7500

***

[15]
Structure and computed powder XRD pattern of KSe2 (DFT lattice parameters and positions (PBE); Cu Kα (λ = 1.5418 Å)).

Principal peaks in the range 2θ from 15° to 90°, low angle first:
2θ 16.43, I 33, hkl 0 0 2; 2θ 18.91, I 53, hkl 0 1 1; 2θ 25.78, I 25, hkl 1 0 1; 2θ 29.90, I 100, hkl 1 1 0; 2θ 30.19, I 29, hkl 0 1 3; 2θ 34.41, I 34, hkl 0 2 0; 2θ 45.49, I 29, hkl 0 1 5; 2θ 49.05, I 23, hkl 1 0 5; 2θ 49.96, I 25, hkl 2 0 0; 2θ 61.29, I 26, hkl 1 2 5

Crystal structure
abc: 3.648 5.212 10.790
angles: 90.00 90.00 90.00
Space group Immm (No. 71)
Symmetry-distinct sites (fractional):
K: 0.000 0.000 0.000
Se: 0.000 0.000 0.393